Structure and simulated X-ray powder pattern of MnNiP2 (DFT lattice parameters and positions (GGA-PBE); a wavelength of 1.5418 Å).
Neutral-atom scattering factors, no anomalous dispersion.

The 6 most intense peaks (2θ from 10° to 90°), in order of rising 2θ:
(1 1 0), 2.798 Å, 31.98°, I = 69
(1 1 1), 2.462 Å, 36.50°, I = 32
(1 2 1), 1.974 Å, 45.98°, I = 56
(0 2 2), 1.920 Å, 47.36°, I = 41
(1 1 2), 1.900 Å, 47.87°, I = 100
(0 3 1), 1.790 Å, 51.04°, I = 26

Structure:
```
MnNiP2
1.0
3.2080 0.0000 0.0000
0.0000 5.7212 0.0000
0.0000 0.0000 5.1783
Mn Ni P
2 2 4
Direct
0.0000 0.0587 0.0000 Mn
0.0000 0.9413 0.5000 Mn
0.5000 0.4504 0.0024 Ni
0.5000 0.5496 0.5024 Ni
0.0000 0.3165 0.3190 P
0.0000 0.6835 0.8190 P
0.5000 0.1677 0.6957 P
0.5000 0.8323 0.1957 P
```